Structure and calculated PXRD pattern of Sc4TeIr (a structure optimized by DFT (GGA-PBE); Cu Kα (λ = 1.5418 Å)).
Neutral-atom scattering factors, no anomalous dispersion.

Main lines, in order of falling intensity (2θ from 5° to 70°):
(1 0 4), 2θ = 22.90°, rel. 100
(2 1 3), 2θ = 36.59°, rel. 82
(1 1 1), 2θ = 26.57°, rel. 71
(0 1 5), 2θ = 34.09°, rel. 53
(2 1 5), 2θ = 41.85°, rel. 50
(3 0 4), 2θ = 41.00°, rel. 50
(2 0 0), 2θ = 23.54°, rel. 48
(3 1 1), 2θ = 43.28°, rel. 39
(0 0 2), 2θ = 9.77°, rel. 31
(0 2 0), 2θ = 47.52°, rel. 29
(1 1 7), 2θ = 43.92°, rel. 28
(0 0 8), 2θ = 39.83°, rel. 26

Structural model:
a b c (Å): 7.5586 3.8267 18.1045
angles (deg): 90.00 90.00 90.00
Space group Pnma (No. 62)
Asymmetric unit:
Sc (0.0025, 0.2500, 0.0673) x4
Sc (0.0439, 0.2500, 0.7890) x4
Sc (0.1363, 0.2500, 0.5478) x4
Sc (0.1445, 0.2500, 0.3525) x4
Te (0.2385, 0.7500, 0.6910) x4
Ir (0.2460, 0.7500, 0.4489) x4


Structure and calculated PXRD pattern of LaZr (a structure optimized by DFT (GGA-PBE); Cu Kα (λ = 1.5418 Å)).
Neutral-atom scattering factors, no anomalous dispersion.

Main lines, in order of falling intensity (2θ from 5° to 70°):
(0 2 1), 2θ = 34.19°, rel. 100
(3 1 -2), 2θ = 33.45°, rel. 96
(3 1 0), 2θ = 34.07°, rel. 81
(0 0 2), 2θ = 32.58°, rel. 68
(3 1 -1), 2θ = 29.46°, rel. 53
(3 3 -1), 2θ = 52.86°, rel. 29
(1 1 1), 2θ = 27.78°, rel. 23
(3 1 -3), 2θ = 44.00°, rel. 17
(3 1 -4), 2θ = 58.28°, rel. 17
(0 2 0), 2θ = 29.94°, rel. 16
(3 3 -3), 2θ = 63.10°, rel. 16
(0 2 3), 2θ = 59.16°, rel. 15

Structural model:
a b c (Å): 10.5620 5.9688 6.6010
angles (deg): 90.00 123.61 90.00
Space group C2 (No. 5)
Asymmetric unit:
La (0.0000, 0.0000, 0.0000) x2
La (0.1409, 0.3638, 0.4544) x4
Zr (0.0000, 0.8384, 0.5000) x2
Zr (0.1964, 0.5661, 0.0076) x4


Structure and calculated PXRD pattern of LiDyCu11 (a structure optimized by DFT (GGA-PBE); Cu Kα (λ = 1.5418 Å)).
Neutral-atom scattering factors, no anomalous dispersion.

Main lines, in order of falling intensity (2θ from 5° to 70°):
(0 4 2), 2θ = 42.60°, rel. 100
(1 5 0), 2θ = 43.04°, rel. 76
(1 3 -2), 2θ = 36.87°, rel. 72
(1 1 2), 2θ = 42.42°, rel. 48
(2 2 -2), 2θ = 43.29°, rel. 42
(2 2 0), 2θ = 43.18°, rel. 40
(2 0 -1), 2θ = 37.38°, rel. 33
(2 0 1), 2θ = 48.24°, rel. 26
(1 1 -2), 2θ = 29.92°, rel. 23
(1 3 0), 2θ = 30.09°, rel. 20
(0 4 1), 2θ = 33.56°, rel. 17
(2 4 -1), 2θ = 48.67°, rel. 16

Structural model:
a b c (Å): 4.8110 11.9047 6.5032
angles (deg): 90.00 111.48 90.00
Space group C2/m (No. 12)
Asymmetric unit:
Li (0.0000, 0.0000, 0.0000) x2
Dy (0.0000, 0.5000, 0.5000) x2
Cu (0.0000, 0.5000, 0.0000) x2
Cu (0.1108, 0.1103, 0.7243) x8
Cu (0.1717, 0.3212, 0.8533) x8
Cu (0.2500, 0.2500, 0.5000) x4


Structure and calculated PXRD pattern of AgBiPdO4 (a structure optimized by DFT (GGA-PBE); Cu Kα (λ = 1.5418 Å)).
Neutral-atom scattering factors, no anomalous dispersion.

Main lines, in order of falling intensity (2θ from 5° to 70°):
(1 2 1), 2θ = 31.84°, rel. 100
(1 0 1), 2θ = 16.97°, rel. 93
(1 0 3), 2θ = 28.94°, rel. 81
(0 2 2), 2θ = 31.53°, rel. 81
(2 2 4), 2θ = 53.35°, rel. 49
(2 1 1), 2θ = 33.94°, rel. 47
(0 0 4), 2θ = 33.15°, rel. 36
(1 2 5), 2θ = 52.74°, rel. 35
(2 2 2), 2θ = 44.03°, rel. 27
(2 2 0), 2θ = 40.57°, rel. 26
(3 2 1), 2θ = 54.37°, rel. 24
(1 1 2), 2θ = 25.94°, rel. 22

Structural model:
a b c (Å): 5.9689 6.6674 10.8111
angles (deg): 90.00 90.00 90.00
Space group Imma (No. 74)
Asymmetric unit:
Ag (0.0000, 0.2500, 0.1775) x4
Bi (0.0000, 0.0000, 0.5000) x4
Pd (0.2500, 0.2500, 0.7500) x4
O (0.0000, 0.0494, 0.7072) x8
O (0.2376, 0.2500, 0.4777) x8


Structure and calculated PXRD pattern of LiInHg14 (a structure optimized by DFT (GGA-PBE); Cu Kα (λ = 1.5418 Å)).
Neutral-atom scattering factors, no anomalous dispersion.

Main lines, in order of falling intensity (2θ from 5° to 70°):
(2 0 4), 2θ = 30.97°, rel. 100
(2 2 2), 2θ = 36.81°, rel. 82
(0 2 2), 2θ = 30.58°, rel. 68
(2 4 4), 2θ = 67.45°, rel. 22
(4 0 0), 2θ = 40.64°, rel. 21
(4 2 6), 2θ = 62.92°, rel. 19
(4 2 2), 2θ = 51.70°, rel. 16
(0 2 6), 2θ = 45.86°, rel. 16
(2 2 6), 2θ = 50.49°, rel. 14
(0 4 0), 2θ = 58.26°, rel. 12
(0 1 5), 2θ = 32.66°, rel. 12
(2 1 3), 2θ = 30.24°, rel. 11

Structural model:
a b c (Å): 8.8797 6.3348 15.2061
angles (deg): 90.00 90.00 90.00
Space group Amm2 (No. 38)
Asymmetric unit:
Li (0.0000, 0.0000, 0.0000) x2
In (0.0000, 0.0000, 0.5822) x2
Hg (0.0000, 0.2435, 0.3353) x4
Hg (0.1721, 0.0000, 0.1722) x4
Hg (0.2465, 0.0000, 0.7256) x4
Hg (0.2642, 0.2478, 0.9747) x8
Hg (0.5000, 0.0000, 0.1214) x2
Hg (0.5000, 0.0000, 0.5876) x2
Hg (0.5000, 0.2405, 0.3236) x4


Structure and calculated PXRD pattern of Ti7CI12 (a structure optimized by DFT (GGA-PBE); Cu Kα (λ = 1.5418 Å)).
Neutral-atom scattering factors, no anomalous dispersion.

Main lines, in order of falling intensity (2θ from 5° to 70°):
(3 1 2), 2θ = 29.89°, rel. 100
(4 -3 1), 2θ = 25.38°, rel. 85
(2 5 0), 2θ = 41.66°, rel. 32
(0 0 3), 2θ = 27.07°, rel. 28
(4 -3 4), 2θ = 43.87°, rel. 27
(1 1 0), 2θ = 11.32°, rel. 26
(7 -2 3), 2θ = 50.40°, rel. 24
(2 1 1), 2θ = 19.54°, rel. 17
(3 1 5), 2θ = 52.31°, rel. 13
(6 2 1), 2θ = 49.42°, rel. 12
(4 1 3), 2θ = 41.04°, rel. 11
(4 2 2), 2θ = 39.68°, rel. 10

Structural model:
a b c (Å): 15.6296 15.6296 9.8833
angles (deg): 90.00 90.00 120.00
Space group R-3 (No. 148, hexagonal axes)
Asymmetric unit:
Ti (0.0000, 0.0000, 0.0000) x3
Ti (0.0373, 0.1254, 0.3857) x18
C (0.0000, 0.0000, 0.5000) x3
I (0.0483, 0.1616, 0.8173) x18
I (0.0563, 0.6003, 0.1666) x18


Structure and calculated PXRD pattern of CsAc2AlO5 (a structure optimized by DFT (GGA-PBE); Cu Kα (λ = 1.5418 Å)).
Neutral-atom scattering factors, no anomalous dispersion.

Main lines, in order of falling intensity (2θ from 5° to 70°):
(2 0 2), 2θ = 28.95°, rel. 100
(2 1 1), 2θ = 28.35°, rel. 69
(2 1 3), 2θ = 36.15°, rel. 61
(0 0 2), 2θ = 15.49°, rel. 43
(4 1 1), 2θ = 52.11°, rel. 33
(0 0 4), 2θ = 31.26°, rel. 31
(4 1 3), 2θ = 57.21°, rel. 25
(2 2 0), 2θ = 34.65°, rel. 24
(2 1 5), 2θ = 48.53°, rel. 22
(3 1 0), 2θ = 38.89°, rel. 22
(2 2 4), 2θ = 47.35°, rel. 20
(2 0 6), 2θ = 54.22°, rel. 18

Structural model:
a b c (Å): 7.3232 7.3232 11.4442
angles (deg): 90.00 90.00 90.00
Space group I4/mcm (No. 140)
Asymmetric unit:
Cs (0.0000, 0.0000, 0.2500) x4
Ac (0.1870, 0.3130, 0.0000) x8
Al (0.0000, 0.5000, 0.2500) x4
O (0.0000, 0.0000, 0.0000) x4
O (0.1262, 0.3738, 0.3596) x16